Structure and theoretical powder X-ray diffraction pattern of Sm4Dy11Ho9 (a crystal structure in Alexandria, relaxed with GGA-PBE; Cu Ka).
Peak positions follow from Bragg's law for the DFT cell and can differ from measured ones.

Largest 12 diffraction maxima, by angle, 2θ from 10° to 80°:
30.8 deg, I = 100.0
33.4 deg, I = 1.8
33.9 deg, I = 2.3
35.1 deg, I = 18.5
36.1 deg, I = 30.9
51.2 deg, I = 21.1
51.9 deg, I = 12.8
52.6 deg, I = 1.9
60.4 deg, I = 13.0
61.6 deg, I = 27.3
64.2 deg, I = 12.5
76.5 deg, I = 4.0

```
data_Sm4Dy11Ho9
_cell_length_a 20.4382
_cell_length_b 21.1262
_cell_length_c 3.5238
_cell_angle_alpha 90.00
_cell_angle_beta 90.00
_cell_angle_gamma 90.00
_space_group_name_H-M_alt 'C m m m'
_space_group_IT_number 65
_space_group_name_Hall '-C 2 2'
loop_
_atom_site_label
_atom_site_type_symbol
_atom_site_fract_x
_atom_site_fract_y
_atom_site_fract_z
_atom_site_occupancy
Sm1 Sm 0.1352 0.0857 0.0000 1
Dy1 Dy 0.0000 0.1585 0.5000 1
Dy2 Dy 0.0000 0.3309 0.5000 1
Dy3 Dy 0.0000 0.5000 0.5000 1
Dy4 Dy 0.2417 0.5000 0.5000 1
Dy5 Dy 0.2467 0.3317 0.5000 1
Ho1 Ho 0.0000 0.0000 0.0000 1
Ho2 Ho 0.1213 0.4152 0.0000 1
Ho3 Ho 0.1235 0.2475 0.0000 1
```

Structure and theoretical powder X-ray diffraction pattern of SmDyHo4 (a crystal structure in Alexandria, relaxed with GGA-PBE; Cu Ka).
Peak positions follow from Bragg's law for the DFT cell and can differ from measured ones.

Largest 12 diffraction maxima, by angle, 2θ from 10° to 80°:
29.0 deg, I = 8.2
30.0 deg, I = 41.4
31.1 deg, I = 34.2
33.0 deg, I = 100.0
37.5 deg, I = 23.0
43.1 deg, I = 5.7
49.5 deg, I = 10.4
51.4 deg, I = 25.5
56.6 deg, I = 21.6
60.7 deg, I = 5.7
61.3 deg, I = 29.9
62.4 deg, I = 16.1

```
data_SmDyHo4
_cell_length_a 3.5573
_cell_length_b 18.4787
_cell_length_c 11.4855
_cell_angle_alpha 90.00
_cell_angle_beta 90.00
_cell_angle_gamma 90.00
_space_group_name_H-M_alt 'C m c 21'
_space_group_IT_number 36
_space_group_name_Hall 'C 2c -2'
loop_
_atom_site_label
_atom_site_type_symbol
_atom_site_fract_x
_atom_site_fract_y
_atom_site_fract_z
_atom_site_occupancy
Sm1 Sm 0.0000 0.2221 0.0000 1
Dy1 Dy 0.0000 0.3342 0.2487 1
Ho1 Ho 0.0000 0.0002 0.2502 1
Ho2 Ho 0.0000 0.1097 0.5000 1
Ho3 Ho 0.0000 0.3341 0.7513 1
Ho4 Ho 0.0000 0.4451 0.5002 1
```

Structure and theoretical powder X-ray diffraction pattern of Sm2Dy12Ho (a crystal structure in Alexandria, relaxed with GGA-PBE; Cu Ka).
Peak positions follow from Bragg's law for the DFT cell and can differ from measured ones.

Largest 12 diffraction maxima, by angle, 2θ from 10° to 80°:
20.9 deg, I = 21.8
28.8 deg, I = 39.3
29.9 deg, I = 31.3
31.4 deg, I = 31.6
32.0 deg, I = 100.0
32.3 deg, I = 29.6
34.5 deg, I = 22.8
36.2 deg, I = 25.3
39.8 deg, I = 30.0
40.4 deg, I = 20.3
44.7 deg, I = 18.6
56.3 deg, I = 26.4

```
data_Sm2Dy12Ho
_cell_length_a 6.4075
_cell_length_b 6.4075
_cell_length_c 24.9199
_cell_angle_alpha 90.00
_cell_angle_beta 90.00
_cell_angle_gamma 90.00
_space_group_name_H-M_alt 'P 4/n b m'
_space_group_IT_number 125
loop_
_space_group_symop_operation_xyz
'x,y,z'
'-x,-y,-z'
'-y+1/2,x,z'
'y+1/2,-x,-z'
'-x+1/2,-y+1/2,z'
'x+1/2,y+1/2,-z'
'y,-x+1/2,z'
'-y,x+1/2,-z'
'x,-y+1/2,-z'
'-x,y+1/2,z'
'-y+1/2,-x+1/2,-z'
'y+1/2,x+1/2,z'
'-x+1/2,y,-z'
'x+1/2,-y,z'
'y,x,-z'
'-y,-x,z'
loop_
_atom_site_label
_atom_site_type_symbol
_atom_site_fract_x
_atom_site_fract_y
_atom_site_fract_z
_atom_site_occupancy
Sm1 Sm 0.2500 0.7500 0.2283 1
Dy1 Dy 0.0644 0.5644 0.3845 1
Dy2 Dy 0.0815 0.5815 0.9393 1
Dy3 Dy 0.2500 0.2500 0.1605 1
Dy4 Dy 0.2500 0.2500 0.2848 1
Ho1 Ho 0.2500 0.7500 0.5000 1
```

Structure and theoretical powder X-ray diffraction pattern of Sm4DyHo6 (a crystal structure in Alexandria, relaxed with GGA-PBE; Cu Ka).
Peak positions follow from Bragg's law for the DFT cell and can differ from measured ones.

Largest 12 diffraction maxima, by angle, 2θ from 10° to 80°:
28.4 deg, I = 38.3
29.0 deg, I = 65.6
29.5 deg, I = 28.4
30.8 deg, I = 100.0
31.6 deg, I = 28.9
34.4 deg, I = 78.4
37.1 deg, I = 29.0
38.6 deg, I = 30.0
40.5 deg, I = 37.2
50.7 deg, I = 22.0
57.7 deg, I = 18.9
57.9 deg, I = 35.9

```
data_Sm4DyHo6
_cell_length_a 6.5985
_cell_length_b 6.5985
_cell_length_c 17.0097
_cell_angle_alpha 90.00
_cell_angle_beta 90.00
_cell_angle_gamma 90.00
_space_group_name_H-M_alt 'I -4 2 m'
_space_group_IT_number 121
_space_group_name_Hall 'I -4 2'
loop_
_atom_site_label
_atom_site_type_symbol
_atom_site_fract_x
_atom_site_fract_y
_atom_site_fract_z
_atom_site_occupancy
Sm1 Sm 0.1887 0.1887 0.1750 1
Dy1 Dy 0.0000 0.0000 0.0000 1
Ho1 Ho 0.0000 0.5000 0.0000 1
Ho2 Ho 0.1786 0.1786 0.3728 1
```